Entry 1:
This entry pairs a crystal structure of Pr8Y with its theoretical powder X-ray diffraction pattern. Radiation: Cu Kα (λ = 1.5418 Å). Structure: a crystal structure in Alexandria, relaxed with PBE.
No peak broadening, texture or thermal motion is included.

Structural model:
Cell lengths 8.277, 8.277, 8.277 Å; angles 95.75, 95.75, 143.10 degrees
Sites, in units of the cell vectors:
Pr  0.000  0.333  0.333
Pr  0.000  0.667  0.667
Pr  0.333  0.000  0.333
Pr  0.334  0.334  0.668
Pr  0.334  0.666  0.000
Pr  0.666  0.334  0.000
Pr  0.666  0.666  0.332
Pr  0.667  0.000  0.667
Y  0.000  0.000  0.000

Most intense lines, 2θ = 10–90°, low angle first:
Position (°2θ), intensity
11.27, 1
24.70, 1
29.55, 100
34.25, 51
49.22, 36
58.46, 43
61.33, 12
72.17, 6
79.85, 17
82.37, 16


Entry 2:
This entry pairs a crystal structure of AlAsBr with its theoretical powder X-ray diffraction pattern. Radiation: Cu Kα (λ = 1.5418 Å). Structure: a crystal structure in Alexandria, relaxed with PBE.
No peak broadening, texture or thermal motion is included.

Structural model:
Cell lengths 9.721, 9.721, 10.206 Å; angles 120.03, 120.03, 39.97 degrees
Sites, in units of the cell vectors:
Al  0.198  0.802  0.500
Al  0.383  0.899  0.326
Al  0.514  0.938  0.749
Al  0.802  0.198  0.000
Al  0.899  0.383  0.826
Al  0.938  0.514  0.249
As  0.239  0.981  0.771
As  0.532  0.598  0.416
As  0.557  0.821  0.151
As  0.598  0.532  0.916
As  0.821  0.557  0.651
As  0.981  0.239  0.271
Br  0.030  0.851  0.854
Br  0.093  0.465  0.081
Br  0.188  0.545  0.483
Br  0.465  0.093  0.581
Br  0.545  0.188  0.983
Br  0.851  0.030  0.354

Most intense lines, 2θ = 10–90°, low angle first:
Position (°2θ), intensity
19.80, 23
22.85, 41
28.35, 100
28.54, 52
28.79, 38
29.50, 41
31.91, 16
33.12, 18
43.10, 30
49.66, 16


Entry 3:
This entry pairs a crystal structure of Cs2Tl6SbPt with its theoretical powder X-ray diffraction pattern. Radiation: Cu Kα (λ = 1.5418 Å). Structure: a crystal structure in Alexandria, relaxed with PBE.
No peak broadening, texture or thermal motion is included.

Structural model:
Cell lengths 13.407, 13.407, 13.407 Å; angles 38.07, 38.07, 38.07 degrees
Sites, in units of the cell vectors:
Cs  0.149  0.149  0.149
Cs  0.285  0.285  0.285
Cs  0.715  0.715  0.715
Cs  0.851  0.851  0.851
Tl  0.177  0.584  0.584
Tl  0.185  0.185  0.790
Tl  0.185  0.790  0.185
Tl  0.210  0.815  0.815
Tl  0.416  0.416  0.823
Tl  0.416  0.823  0.416
Tl  0.584  0.177  0.584
Tl  0.584  0.584  0.177
Tl  0.790  0.185  0.185
Tl  0.815  0.210  0.815
Tl  0.815  0.815  0.210
Tl  0.823  0.416  0.416
Sb  0.382  0.382  0.382
Sb  0.618  0.618  0.618
Pt  0.000  0.000  0.000
Pt  0.500  0.500  0.500

Most intense lines, 2θ = 10–90°, low angle first:
Position (°2θ), intensity
12.62, 100
24.90, 26
26.40, 79
28.94, 58
30.42, 45
33.54, 33
36.31, 45
36.86, 30
41.29, 50
44.75, 27


Entry 4:
This entry pairs a crystal structure of NaAc2ZnO5 with its theoretical powder X-ray diffraction pattern. Radiation: Cu Kα (λ = 1.5418 Å). Structure: a crystal structure in Alexandria, relaxed with PBE.
No peak broadening, texture or thermal motion is included.

Structural model:
Cell lengths 7.686, 7.686, 7.686 Å; angles 123.99, 123.99, 83.21 degrees
Sites, in units of the cell vectors:
Na  0.250  0.250  0.000
Na  0.750  0.750  0.000
Ac  0.176  0.676  0.853
Ac  0.324  0.176  0.500
Ac  0.676  0.824  0.500
Ac  0.824  0.324  0.147
Zn  0.250  0.750  0.500
Zn  0.750  0.250  0.500
O  0.000  0.000  0.000
O  0.005  0.233  0.500
O  0.233  0.733  0.228
O  0.267  0.495  0.500
O  0.495  0.995  0.228
O  0.500  0.500  0.000
O  0.505  0.005  0.772
O  0.733  0.505  0.500
O  0.767  0.267  0.772
O  0.995  0.767  0.500

Most intense lines, 2θ = 10–90°, low angle first:
Position (°2θ), intensity
15.42, 87
28.73, 100
29.22, 73
31.12, 31
36.40, 87
42.62, 29
48.62, 36
52.91, 34
57.92, 28
63.56, 24


Entry 5:
This entry pairs a crystal structure of TcTeSe2 with its theoretical powder X-ray diffraction pattern. Radiation: Cu Kα (λ = 1.5418 Å). Structure: a crystal structure in Alexandria, relaxed with PBE.
No peak broadening, texture or thermal motion is included.

Structural model:
Cell lengths 6.478, 6.478, 7.225 Å; angles 123.46, 123.46, 54.75 degrees
Sites, in units of the cell vectors:
Tc  0.000  0.500  0.000
Tc  0.500  0.000  0.000
Te  0.004  0.004  0.707
Te  0.996  0.996  0.293
Se  0.349  0.349  0.349
Se  0.359  0.359  0.860
Se  0.641  0.641  0.140
Se  0.651  0.651  0.651

Most intense lines, 2θ = 10–90°, low angle first:
Position (°2θ), intensity
15.79, 81
30.00, 30
30.52, 72
30.67, 66
33.39, 100
36.14, 37
44.13, 38
44.35, 37
47.33, 30
53.64, 28


Entry 6:
This entry pairs a crystal structure of Sr3Ga4Pd2Pt2 with its theoretical powder X-ray diffraction pattern. Radiation: Cu Kα (λ = 1.5418 Å). Structure: a crystal structure in Alexandria, relaxed with PBE.
No peak broadening, texture or thermal motion is included.

Structural model:
Cell lengths 4.380, 4.380, 15.795 Å; angles 90.00, 90.00, 120.00 degrees
Sites, in units of the cell vectors:
Sr  0.000  0.000  0.000
Sr  0.000  0.000  0.280
Sr  0.000  0.000  0.720
Ga  0.333  0.667  0.433
Ga  0.333  0.667  0.858
Ga  0.667  0.333  0.142
Ga  0.667  0.333  0.567
Pd  0.333  0.667  0.593
Pd  0.667  0.333  0.407
Pt  0.333  0.667  0.139
Pt  0.667  0.333  0.861

Most intense lines, 2θ = 10–90°, low angle first:
Position (°2θ), intensity
22.52, 24
26.06, 46
29.02, 68
32.74, 84
39.95, 30
41.23, 100
47.48, 20
53.61, 21
58.76, 58
88.69, 19